Calculated PXRD pattern of Li4Co2O5 for CuKα, from DFT lattice parameters and positions (PBE+U).
Lines closer than 0.1° are merged.

Principal peaks in the range 2θ = 5–70°, in order of rising 2θ:
- d 6.163, I 69.5, hkl 0 2 0
- d 3.955, I 100.0, hkl 0 0 1
- d 3.733, I 69.4, hkl 1 1 0
- d 3.081, I 24.8, hkl 0 4 0
- d 2.835, I 44.3, hkl 1 3 0
- d 2.304, I 21.0, hkl 1 3 1
- d 2.054, I 41.4, hkl 0 6 0
- d 1.977, I 39.8, hkl 0 0 2
- d 1.959, I 38.5, hkl 2 0 0
- d 1.823, I 20.9, hkl 0 6 1
- d 1.425, I 21.0, hkl 0 6 2
- d 1.392, I 21.0, hkl 2 0 2

Atomic structure:
Cell: 3.917 12.326 3.955 Å, 90.00 90.00 90.00°
Space group Cmmm (No. 65)
Asymmetric unit:
Li 0.000 0.000 0.000
Li 0.000 0.187 0.500
Li 0.000 0.500 0.500
Co 0.000 0.340 0.000
O 0.000 0.171 0.000
O 0.000 0.346 0.500
O 0.000 0.500 0.000